Record 1
This entry pairs a crystal structure of La2Tb5Dy with its theoretical powder X-ray diffraction pattern. Radiation: Cu Kα (λ = 1.5418 Å). Structure: the GGA-PBE geometry in Alexandria.

Principal peaks in the range 2θ from 10° to 80°, by angle:
Position (°2θ), d/Å, I/Imax
30.35, 2.945, 100
35.08, 2.558, 34
35.41, 2.535, 16
50.46, 1.809, 12
50.70, 1.801, 24
60.03, 1.541, 29
60.46, 1.531, 14
63.15, 1.472, 12
74.14, 1.279, 4
74.92, 1.268, 2

```
data_La2Tb5Dy
_cell_length_a 10.766
_cell_length_b 10.766
_cell_length_c 10.766
_cell_angle_alpha 152.51
_cell_angle_beta 152.51
_cell_angle_gamma 39.27
_symmetry_space_group_name_H-M 'P 1'
_symmetry_Int_Tables_number 1
loop_
_symmetry_equiv_pos_as_xyz
'x,y,z'
loop_
_atom_site_label
_atom_site_type_symbol
_atom_site_fract_x
_atom_site_fract_y
_atom_site_fract_z
La1 La 0.250 0.250 0.000
La2 La 0.750 0.750 0.000
Tb1 Tb 0.000 0.000 0.000
Tb2 Tb 0.122 0.622 0.500
Tb3 Tb 0.378 0.878 0.500
Tb4 Tb 0.622 0.122 0.500
Tb5 Tb 0.878 0.378 0.500
Dy1 Dy 0.500 0.500 0.000
```

---

Record 2
This entry pairs a crystal structure of AlHPd3 with its theoretical powder X-ray diffraction pattern. Radiation: Cu Kα (λ = 1.5418 Å). Structure: the GGA-PBE geometry in Alexandria.

Principal peaks in the range 2θ from 10° to 80°, by angle:
Position (°2θ), d/Å, I/Imax
12.44, 7.113, 20
32.34, 2.768, 39
36.67, 2.451, 22
37.45, 2.402, 31
38.68, 2.328, 66
40.31, 2.237, 46
41.36, 2.183, 21
41.69, 2.166, 74
42.98, 2.105, 100
66.55, 1.405, 28

```
data_AlHPd3
_cell_length_a 7.222
_cell_length_b 7.222
_cell_length_c 4.915
_cell_angle_alpha 92.72
_cell_angle_beta 92.72
_cell_angle_gamma 99.45
_symmetry_space_group_name_H-M 'P 1'
_symmetry_Int_Tables_number 1
loop_
_symmetry_equiv_pos_as_xyz
'x,y,z'
loop_
_atom_site_label
_atom_site_type_symbol
_atom_site_fract_x
_atom_site_fract_y
_atom_site_fract_z
Al1 Al 0.075 0.221 0.067
Al2 Al 0.221 0.075 0.567
Al3 Al 0.779 0.925 0.433
Al4 Al 0.925 0.779 0.933
H1 H 0.308 0.692 0.250
H2 H 0.427 0.573 0.750
H3 H 0.573 0.427 0.250
H4 H 0.692 0.308 0.750
Pd1 Pd 0.048 0.731 0.431
Pd2 Pd 0.178 0.568 0.911
Pd3 Pd 0.269 0.952 0.069
Pd4 Pd 0.302 0.433 0.410
Pd5 Pd 0.432 0.822 0.589
Pd6 Pd 0.433 0.302 0.910
Pd7 Pd 0.567 0.698 0.090
Pd8 Pd 0.568 0.178 0.411
Pd9 Pd 0.698 0.567 0.590
Pd10 Pd 0.731 0.048 0.931
Pd11 Pd 0.822 0.432 0.089
Pd12 Pd 0.952 0.269 0.569
```